Theoretical PXRD pattern of Mg6TiGa for a wavelength of 1.5418 Å, from a cell relaxed with GGA-PBE.
Lines closer than 0.1° are merged.

Top 6 peaks for 2θ from 10° to 90°, low angle first:
(hkl), 2θ (°), I (rel.)
0 1 1, 16.24, 30
0 2 2, 32.81, 26
2 0 0, 37.15, 24
1 0 4, 37.85, 100
2 2 2, 50.39, 15
3 0 4, 67.43, 17

Structural model:
```
data_Mg6TiGa
_cell_length_a 4.8402
_cell_length_b 6.3120
_cell_length_c 10.8996
_cell_angle_alpha 90.00
_cell_angle_beta 90.00
_cell_angle_gamma 90.00
_space_group_name_H-M_alt 'A m m 2'
_space_group_IT_number 38
loop_
_space_group_symop_operation_xyz
'x,y,z'
'-x,-y,z'
'-x,y,z'
'x,-y,z'
'x,y+1/2,z+1/2'
'-x,-y+1/2,z+1/2'
'-x,y+1/2,z+1/2'
'x,-y+1/2,z+1/2'
loop_
_atom_site_label
_atom_site_type_symbol
_atom_site_fract_x
_atom_site_fract_y
_atom_site_fract_z
Mg1 Mg 0.0000 0.0000 0.0000
Mg2 Mg 0.0000 0.2444 0.2533
Mg3 Mg 0.5000 0.0000 0.8341
Mg4 Mg 0.5000 0.2462 0.5852
Ti1 Ti 0.5000 0.0000 0.3435
Ga1 Ga 0.0000 0.0000 0.4845
```

---

Theoretical PXRD pattern of LiGa5O8 for a wavelength of 1.5418 Å, from a cell relaxed with GGA-PBE.
Lines closer than 0.1° are merged.

Top 6 peaks for 2θ from 10° to 90°, low angle first:
(hkl), 2θ (°), I (rel.)
1 1 2, 30.41, 51
0 2 0, 30.61, 26
2 1 1, 35.58, 91
0 1 3, 35.93, 100
2 3 1, 57.70, 42
2 2 4, 63.27, 59

Structural model:
```
data_LiGa5O8
_cell_length_a 5.9431
_cell_length_b 5.8416
_cell_length_c 8.2970
_cell_angle_alpha 90.00
_cell_angle_beta 90.00
_cell_angle_gamma 90.00
_space_group_name_H-M_alt 'P m n a'
_space_group_IT_number 53
loop_
_space_group_symop_operation_xyz
'x,y,z'
'-x,-y,-z'
'-x+1/2,-y,z+1/2'
'x+1/2,y,-z+1/2'
'x,-y,-z'
'-x,y,z'
'-x+1/2,y,-z+1/2'
'x+1/2,-y,z+1/2'
loop_
_atom_site_label
_atom_site_type_symbol
_atom_site_fract_x
_atom_site_fract_y
_atom_site_fract_z
Li1 Li 0.0000 0.0000 0.0000
Ga1 Ga 0.0000 0.2565 0.3841
Ga2 Ga 0.0000 0.5000 0.0000
Ga3 Ga 0.2500 0.2305 0.7500
O1 O 0.0000 0.0092 0.7449
O2 O 0.0000 0.4820 0.7572
O3 O 0.2380 0.2594 0.9883
```

---

Theoretical PXRD pattern of KCN for a wavelength of 1.5418 Å, from a cell relaxed with GGA-PBE.
Lines closer than 0.1° are merged.

Top 6 peaks for 2θ from 10° to 90°, low angle first:
(hkl), 2θ (°), I (rel.)
0 1 1, 22.81, 18
1 0 1, 26.38, 100
0 2 0, 30.94, 38
0 0 2, 33.95, 13
2 0 0, 41.09, 65
1 1 2, 42.91, 18

Structural model:
```
data_KCN
_cell_length_a 4.3947
_cell_length_b 5.7806
_cell_length_c 5.2818
_cell_angle_alpha 90.00
_cell_angle_beta 90.00
_cell_angle_gamma 90.00
_space_group_name_H-M_alt 'I m m 2'
_space_group_IT_number 44
loop_
_space_group_symop_operation_xyz
'x,y,z'
'-x,-y,z'
'-x,y,z'
'x,-y,z'
'x+1/2,y+1/2,z+1/2'
'-x+1/2,-y+1/2,z+1/2'
'-x+1/2,y+1/2,z+1/2'
'x+1/2,-y+1/2,z+1/2'
loop_
_atom_site_label
_atom_site_type_symbol
_atom_site_fract_x
_atom_site_fract_y
_atom_site_fract_z
K1 K 0.0000 0.0000 0.0000
C1 C 0.0000 0.5000 0.0974
N1 N 0.0000 0.5000 0.8738
```

---

Theoretical PXRD pattern of Er2SnAu2 for a wavelength of 1.5418 Å, from a cell relaxed with GGA-PBE.
Lines closer than 0.1° are merged.

Top 6 peaks for 2θ from 10° to 90°, low angle first:
(hkl), 2θ (°), I (rel.)
1 1 0, 15.86, 14
2 0 2, 33.05, 19
2 1 2, 35.00, 100
3 1 0, 35.95, 42
0 0 4, 48.90, 17
3 1 4, 62.16, 14

Structural model:
```
data_Er2SnAu2
_cell_length_a 7.9001
_cell_length_b 7.9001
_cell_length_c 7.4517
_cell_angle_alpha 90.00
_cell_angle_beta 90.00
_cell_angle_gamma 90.00
_space_group_name_H-M_alt 'P 42/m n m'
_space_group_IT_number 136
_space_group_name_Hall '-P 4n 2n'
loop_
_atom_site_label
_atom_site_type_symbol
_atom_site_fract_x
_atom_site_fract_y
_atom_site_fract_z
Er1 Er 0.1574 0.1574 0.0000
Er2 Er 0.1839 0.1839 0.5000
Sn1 Sn 0.0000 0.5000 0.2500
Au1 Au 0.1277 0.8723 0.2780
```

---

Theoretical PXRD pattern of NaH5CO4 for a wavelength of 1.5418 Å, from a cell relaxed with GGA-PBE.
Lines closer than 0.1° are merged.

Top 6 peaks for 2θ from 10° to 90°, low angle first:
(hkl), 2θ (°), I (rel.)
0 0 1, 11.53, 40
1 1 0, 26.90, 83
1 0 2, 30.07, 58
1 0 -3, 32.69, 41
2 1 -1, 33.56, 100
3 1 -2, 44.01, 31

Structural model:
```
data_NaH5CO4
_cell_length_a 7.6917
_cell_length_b 3.7357
_cell_length_c 8.2125
_cell_angle_alpha 90.00
_cell_angle_beta 110.90
_cell_angle_gamma 90.00
_space_group_name_H-M_alt 'P 1 21 1'
_space_group_IT_number 4
loop_
_space_group_symop_operation_xyz
'x,y,z'
'-x,y+1/2,-z'
loop_
_atom_site_label
_atom_site_type_symbol
_atom_site_fract_x
_atom_site_fract_y
_atom_site_fract_z
Na1 Na 0.1882 0.0000 0.1547
H1 H 0.0353 0.1631 0.6101
H2 H 0.3163 0.9351 0.5593
H3 H 0.3380 0.5878 0.9725
H4 H 0.4523 0.1858 0.4991
H5 H 0.4981 0.9778 0.8549
C1 C 0.1032 0.0052 0.7312
O1 O 0.0230 0.9991 0.8414
O2 O 0.2545 0.8447 0.7449
O3 O 0.3611 0.9848 0.4615
O4 O 0.3658 0.5094 0.0940
```